[1]
Structure and simulated X-ray diffraction stick pattern of SrIn4Hg4 (a cell relaxed with PBE; a wavelength of 1.5418 Å).

The 8 most intense peaks (2θ = 10–80°), in order of rising 2θ:
2θ = 32.52°, intensity 100
2θ = 37.03°, intensity 39
2θ = 39.11°, intensity 15
2θ = 53.37°, intensity 12
2θ = 54.95°, intensity 22
2θ = 63.91°, intensity 28
2θ = 66.73°, intensity 14
2θ = 68.12°, intensity 12

Structural model:
Lattice parameters (Å, degrees): 7.639 7.639 7.639 95.22 95.22 144.90
Fractional positions:
Sr1 0.000 0.000 0.000
In1 0.000 0.339 0.339
In2 0.000 0.661 0.661
In3 0.339 0.000 0.339
In4 0.661 0.000 0.661
Hg1 0.328 0.328 0.656
Hg2 0.328 0.672 0.000
Hg3 0.672 0.328 0.000
Hg4 0.672 0.672 0.344

[2]
Structure and simulated X-ray diffraction stick pattern of SrIn5Hg7 (a cell relaxed with PBE; a wavelength of 1.5418 Å).

The 8 most intense peaks (2θ = 10–80°), in order of rising 2θ:
2θ = 27.01°, intensity 17
2θ = 30.33°, intensity 16
2θ = 31.70°, intensity 38
2θ = 32.07°, intensity 59
2θ = 33.14°, intensity 100
2θ = 35.43°, intensity 30
2θ = 39.25°, intensity 43
2θ = 44.70°, intensity 25

Structural model:
Lattice parameters (Å, degrees): 8.118 8.118 6.118 108.30 108.30 93.12
Fractional positions:
Sr1 0.000 0.000 0.000
In1 0.130 0.611 0.571
In2 0.436 0.436 0.859
In3 0.539 0.944 0.991
In4 0.611 0.130 0.571
In5 0.944 0.539 0.991
Hg1 0.001 0.248 0.609
Hg2 0.248 0.001 0.609
Hg3 0.322 0.745 0.186
Hg4 0.335 0.335 0.266
Hg5 0.646 0.646 0.618
Hg6 0.745 0.322 0.186
Hg7 0.818 0.818 0.350

[3]
Structure and simulated X-ray diffraction stick pattern of SrIn4Hg6 (a cell relaxed with PBE; a wavelength of 1.5418 Å).

The 8 most intense peaks (2θ = 10–80°), in order of rising 2θ:
2θ = 27.99°, intensity 22
2θ = 30.46°, intensity 93
2θ = 31.51°, intensity 44
2θ = 36.99°, intensity 100
2θ = 38.28°, intensity 35
2θ = 50.39°, intensity 23
2θ = 56.11°, intensity 23
2θ = 69.96°, intensity 24

Structural model:
Lattice parameters (Å, degrees): 8.673 8.673 4.703 90.00 90.00 120.00
Fractional positions:
Sr1 0.000 0.000 0.000
In1 0.333 0.667 0.000
In2 0.418 0.272 0.500
In3 0.728 0.146 0.500
In4 0.854 0.582 0.500
Hg1 0.140 0.364 0.500
Hg2 0.223 0.860 0.500
Hg3 0.480 0.072 0.000
Hg4 0.592 0.520 0.000
Hg5 0.636 0.777 0.500
Hg6 0.928 0.408 0.000

[4]
Structure and simulated X-ray diffraction stick pattern of Sr4In5Hg6 (a cell relaxed with PBE; a wavelength of 1.5418 Å).

The 8 most intense peaks (2θ = 10–80°), in order of rising 2θ:
2θ = 22.90°, intensity 62
2θ = 27.46°, intensity 26
2θ = 29.28°, intensity 33
2θ = 31.56°, intensity 100
2θ = 34.78°, intensity 30
2θ = 36.75°, intensity 44
2θ = 38.87°, intensity 60
2θ = 39.60°, intensity 33

Structural model:
Lattice parameters (Å, degrees): 12.068 12.068 16.446 90.00 90.00 157.86
Fractional positions:
Sr1 0.025 0.975 0.500
Sr2 0.046 0.954 0.773
Sr3 0.151 0.849 0.280
Sr4 0.192 0.808 0.921
Sr5 0.808 0.192 0.421
Sr6 0.849 0.151 0.780
Sr7 0.954 0.046 0.273
Sr8 0.975 0.025 0.000
In1 0.155 0.845 0.623
In2 0.316 0.684 0.589
In3 0.331 0.669 0.264
In4 0.357 0.643 0.964
In5 0.453 0.547 0.661
In6 0.547 0.453 0.161
In7 0.643 0.357 0.464
In8 0.669 0.331 0.764
In9 0.684 0.316 0.089
In10 0.845 0.155 0.123
Hg1 0.104 0.896 0.080
Hg2 0.218 0.782 0.469
Hg3 0.251 0.749 0.740
Hg4 0.422 0.578 0.127
Hg5 0.422 0.578 0.426
Hg6 0.453 0.547 0.847
Hg7 0.547 0.453 0.347
Hg8 0.578 0.422 0.627
Hg9 0.578 0.422 0.926
Hg10 0.749 0.251 0.240
Hg11 0.782 0.218 0.969
Hg12 0.896 0.104 0.580

[5]
Structure and simulated X-ray diffraction stick pattern of Sr2InHg8 (a cell relaxed with PBE; a wavelength of 1.5418 Å).

The 8 most intense peaks (2θ = 10–80°), in order of rising 2θ:
2θ = 31.98°, intensity 38
2θ = 32.35°, intensity 100
2θ = 33.00°, intensity 67
2θ = 33.65°, intensity 28
2θ = 33.94°, intensity 38
2θ = 34.17°, intensity 39
2θ = 34.67°, intensity 47
2θ = 35.02°, intensity 74

Structural model:
Lattice parameters (Å, degrees): 5.377 7.267 8.258 78.89 77.48 86.69
Fractional positions:
Sr1 0.202 0.244 0.144
Sr2 0.798 0.756 0.856
In1 0.000 0.500 0.500
Hg1 0.212 0.728 0.122
Hg2 0.246 0.880 0.485
Hg3 0.291 0.056 0.791
Hg4 0.373 0.516 0.732
Hg5 0.627 0.484 0.268
Hg6 0.709 0.944 0.209
Hg7 0.754 0.120 0.515
Hg8 0.788 0.272 0.878

[6]
Structure and simulated X-ray diffraction stick pattern of SrIn7Hg12 (a cell relaxed with PBE; a wavelength of 1.5418 Å).

The 8 most intense peaks (2θ = 10–80°), in order of rising 2θ:
2θ = 19.86°, intensity 49
2θ = 25.73°, intensity 94
2θ = 30.55°, intensity 100
2θ = 32.71°, intensity 55
2θ = 36.70°, intensity 78
2θ = 40.35°, intensity 85
2θ = 48.47°, intensity 79
2θ = 63.58°, intensity 47

Structural model:
Lattice parameters (Å, degrees): 9.483 9.483 9.483 109.47 109.47 109.47
Fractional positions:
Sr1 0.000 0.000 0.000
In1 0.000 0.000 0.500
In2 0.000 0.500 0.000
In3 0.000 0.500 0.500
In4 0.500 0.000 0.000
In5 0.500 0.000 0.500
In6 0.500 0.500 0.000
In7 0.500 0.500 0.500
Hg1 0.121 0.842 0.279
Hg2 0.158 0.279 0.437
Hg3 0.158 0.721 0.879
Hg4 0.279 0.121 0.842
Hg5 0.279 0.437 0.158
Hg6 0.437 0.158 0.279
Hg7 0.563 0.842 0.721
Hg8 0.721 0.563 0.842
Hg9 0.721 0.879 0.158
Hg10 0.842 0.279 0.121
Hg11 0.842 0.721 0.563
Hg12 0.879 0.158 0.721

[7]
Structure and simulated X-ray diffraction stick pattern of Sr2InHg6 (a cell relaxed with PBE; a wavelength of 1.5418 Å).

The 8 most intense peaks (2θ = 10–80°), in order of rising 2θ:
2θ = 14.22°, intensity 12
2θ = 20.67°, intensity 17
2θ = 29.76°, intensity 15
2θ = 30.12°, intensity 17
2θ = 32.46°, intensity 22
2θ = 33.45°, intensity 100
2θ = 42.09°, intensity 22
2θ = 53.49°, intensity 21

Structural model:
Lattice parameters (Å, degrees): 6.855 6.855 6.230 90.10 90.10 59.91
Fractional positions:
Sr1 0.166 0.166 0.177
Sr2 0.834 0.834 0.823
In1 0.500 0.500 0.000
Hg1 0.135 0.682 0.325
Hg2 0.317 0.317 0.676
Hg3 0.318 0.865 0.675
Hg4 0.682 0.135 0.325
Hg5 0.683 0.683 0.324
Hg6 0.865 0.318 0.675

[8]
Structure and simulated X-ray diffraction stick pattern of Sr3TlIn2Hg6 (a cell relaxed with PBE; a wavelength of 1.5418 Å).

The 8 most intense peaks (2θ = 10–80°), in order of rising 2θ:
2θ = 17.65°, intensity 23
2θ = 18.19°, intensity 30
2θ = 31.14°, intensity 42
2θ = 33.04°, intensity 64
2θ = 33.34°, intensity 100
2θ = 36.86°, intensity 33
2θ = 42.16°, intensity 27
2θ = 57.20°, intensity 27

Structural model:
Lattice parameters (Å, degrees): 6.442 6.442 10.049 90.00 90.00 120.00
Fractional positions:
Sr1 0.000 0.000 0.000
Sr2 0.333 0.667 0.608
Sr3 0.667 0.333 0.392
Tl1 0.000 0.000 0.500
In1 0.333 0.667 0.968
In2 0.667 0.333 0.032
Hg1 0.177 0.354 0.258
Hg2 0.177 0.823 0.258
Hg3 0.354 0.177 0.742
Hg4 0.646 0.823 0.258
Hg5 0.823 0.177 0.742
Hg6 0.823 0.646 0.742

[9]
Structure and simulated X-ray diffraction stick pattern of Sr3ZnIn2Hg6 (a cell relaxed with PBE; a wavelength of 1.5418 Å).

The 8 most intense peaks (2θ = 10–80°), in order of rising 2θ:
2θ = 18.27°, intensity 23
2θ = 28.82°, intensity 24
2θ = 32.91°, intensity 100
2θ = 33.39°, intensity 40
2θ = 37.03°, intensity 36
2θ = 43.16°, intensity 28
2θ = 55.94°, intensity 24
2θ = 66.45°, intensity 19

Structural model:
Lattice parameters (Å, degrees): 6.574 6.574 9.294 90.00 90.00 120.00
Fractional positions:
Sr1 0.000 0.000 0.000
Sr2 0.333 0.667 0.617
Sr3 0.667 0.333 0.383
Zn1 0.000 0.000 0.500
In1 0.333 0.667 0.002
In2 0.667 0.333 0.998
Hg1 0.175 0.350 0.286
Hg2 0.175 0.825 0.286
Hg3 0.350 0.175 0.714
Hg4 0.650 0.825 0.286
Hg5 0.825 0.175 0.714
Hg6 0.825 0.650 0.714

[10]
Structure and simulated X-ray diffraction stick pattern of Sr2Zn3In4Hg (a cell relaxed with PBE; a wavelength of 1.5418 Å).

The 8 most intense peaks (2θ = 10–80°), in order of rising 2θ:
2θ = 15.25°, intensity 18
2θ = 29.88°, intensity 32
2θ = 30.97°, intensity 100
2θ = 38.26°, intensity 58
2θ = 41.26°, intensity 40
2θ = 43.43°, intensity 21
2θ = 55.22°, intensity 20
2θ = 64.67°, intensity 24

Structural model:
Lattice parameters (Å, degrees): 4.705 4.705 11.619 90.00 90.00 90.00
Fractional positions:
Sr1 0.000 0.500 0.250
Sr2 0.500 0.000 0.750
Zn1 0.000 0.000 0.000
Zn2 0.000 0.500 0.633
Zn3 0.500 0.000 0.367
In1 0.000 0.000 0.500
In2 0.000 0.500 0.861
In3 0.500 0.000 0.139
In4 0.500 0.500 0.500
Hg1 0.500 0.500 0.000

[11]
Structure and simulated X-ray diffraction stick pattern of TaInHg2 (a cell relaxed with PBE; a wavelength of 1.5418 Å).

The 8 most intense peaks (2θ = 10–80°), in order of rising 2θ:
2θ = 35.24°, intensity 99
2θ = 35.35°, intensity 100
2θ = 40.64°, intensity 67
2θ = 41.66°, intensity 32
2θ = 59.61°, intensity 44
2θ = 70.39°, intensity 25
2θ = 70.60°, intensity 27
2θ = 71.92°, intensity 25

Structural model:
Lattice parameters (Å, degrees): 3.132 4.336 6.295 90.00 90.00 90.00
Fractional positions:
Ta1 0.000 0.000 0.000
In1 0.500 0.500 0.777
Hg1 0.000 0.000 0.499
Hg2 0.500 0.500 0.241

[12]
Structure and simulated X-ray diffraction stick pattern of Tb3In2Hg (a cell relaxed with PBE; a wavelength of 1.5418 Å).

The 8 most intense peaks (2θ = 10–80°), in order of rising 2θ:
2θ = 33.22°, intensity 100
2θ = 34.87°, intensity 44
2θ = 45.15°, intensity 11
2θ = 50.14°, intensity 16
2θ = 58.29°, intensity 20
2θ = 61.48°, intensity 34
2θ = 69.75°, intensity 12
2θ = 75.70°, intensity 9

Structural model:
Lattice parameters (Å, degrees): 3.639 3.639 12.049 90.00 90.00 90.00
Fractional positions:
Tb1 0.000 0.000 0.000
Tb2 0.000 0.000 0.338
Tb3 0.000 0.000 0.662
In1 0.500 0.500 0.170
In2 0.500 0.500 0.830
Hg1 0.500 0.500 0.500